# LiSc3Ga
Calculated powder diffraction line list, CuKα. Input: a crystal structure in Alexandria, relaxed with PBE.
Lines closer than 0.1° are merged.

Main lines, by angle (5 to 70 degrees two-theta):
2θ = 26.04°, 3.422 Å, intensity 7, hkl 1 1 0; 2θ = 32.03°, 2.794 Å, intensity 100, hkl 1 1 1; 2θ = 37.16°, 2.420 Å, intensity 54, hkl 2 0 0; 2θ = 53.56°, 1.711 Å, intensity 35, hkl 2 2 0; 2θ = 63.79°, 1.459 Å, intensity 36, hkl 3 1 1; 2θ = 66.99°, 1.397 Å, intensity 11, hkl 2 2 2

Crystal structure
a b c (Å): 4.839 4.839 4.839
angles (deg): 90.00 90.00 90.00
Element x y z (fractional)
Li1 0.000 0.000 0.000
Sc1 0.000 0.000 0.500
Sc2 0.000 0.500 0.000
Sc3 0.500 0.000 0.000
Ga1 0.500 0.500 0.500